No. 1
Structure and theoretical powder diffraction line list of Rb3NaU3Te8 (a cell relaxed with GGA-PBE; Cu Ka).
No peak broadening, texture or thermal motion is included.

Cell and atoms:
a b c (Å): 15.675 9.052 10.044
angles (deg): 90.00 121.35 90.00
Space group C2/m (No. 12)
Asymmetric unit:
1 Rb 0.000 0.000 0.000
2 Rb 0.250 0.250 0.000
3 Na 0.000 0.000 0.500
4 U 0.000 0.500 0.500
5 U 0.250 0.250 0.500
6 Te 0.023 0.267 0.302
7 Te 0.234 0.500 0.701
8 Te 0.244 0.000 0.698

Peak list (10 most intense, 10 to 90 degrees two-theta, most intense first)
h k l  Position (°2θ)  I_rel
4 0 0  26.63  100
0 0 1  10.31  47
0 4 0  39.84  37
2 2 2  36.13  34
2 2 -3  33.42  20
4 4 0  48.57  19
10 2 -2  64.56  16
2 0 0  13.23  13
4 0 -5  45.14  13
6 2 -3  41.26  10


No. 2
Structure and theoretical powder diffraction line list of La2PuMo2N6 (a cell relaxed with GGA-PBE; Cu Ka).
No peak broadening, texture or thermal motion is included.

Cell and atoms:
a b c (Å): 5.8888 5.8888 17.9150
angles (deg): 90.00 90.00 120.00
Space group R-3m (No. 166, hexagonal axes)
Asymmetric unit:
1 La 0.0000 0.0000 0.2035
2 Pu 0.0000 0.0000 0.0000
3 Mo 0.0000 0.0000 0.4007
4 N 0.0153 0.5077 0.7604

Peak list (10 most intense, 10 to 90 degrees two-theta, most intense first)
h k l  Position (°2θ)  I_rel
0 1 5  30.49  100
1 1 0  30.36  98
1 2 5  53.99  61
2 0 5  43.56  42
1 0 10  54.27  21
4 1 0  87.73  21
2 1 10  71.96  18
3 1 5  71.74  17
1 0 1  18.09  17
2 2 0  63.15  15


No. 3
Structure and theoretical powder diffraction line list of PrGe2IrRh (a cell relaxed with GGA-PBE; Cu Ka).
No peak broadening, texture or thermal motion is included.

Cell and atoms:
a b c (Å): 4.198 4.198 10.580
angles (deg): 90.00 90.00 90.00
Space group I-4m2 (No. 119)
Asymmetric unit:
1 Pr 0.000 0.000 0.000
2 Ge 0.000 0.000 0.375
3 Ir 0.000 0.500 0.750
4 Rh 0.000 0.500 0.250

Peak list (10 most intense, 10 to 90 degrees two-theta, most intense first)
h k l  Position (°2θ)  I_rel
1 1 2  34.65  100
2 0 0  43.10  49
1 0 3  33.18  40
3 1 2  73.56  22
1 1 4  45.96  22
1 1 6  61.13  19
2 1 3  55.45  19
0 0 2  16.76  18
2 2 0  62.59  16
1 0 5  48.16  14


No. 4
Structure and theoretical powder diffraction line list of Ce2SmPaSb5 (a cell relaxed with GGA-PBE; Cu Ka).
No peak broadening, texture or thermal motion is included.

Cell and atoms:
a b c (Å): 5.391 5.391 11.644
angles (deg): 90.00 90.00 90.00
Space group P4/mmm (No. 123)
Asymmetric unit:
1 Ce 0.000 0.000 0.188
2 Sm 0.500 0.500 0.000
3 Pa 0.500 0.500 0.500
4 Sb 0.000 0.000 0.500
5 Sb 0.000 0.500 0.000
6 Sb 0.500 0.500 0.256

Peak list (10 most intense, 10 to 90 degrees two-theta, most intense first)
h k l  Position (°2θ)  I_rel
2 0 0  33.24  100
1 1 0  23.34  93
1 1 3  32.93  58
2 0 4  45.88  50
0 0 4  30.71  38
2 2 0  47.72  36
1 1 1  24.57  32
1 0 4  35.03  26
2 2 4  57.82  25
3 1 3  59.20  22


No. 5
Structure and theoretical powder diffraction line list of Pu2CuH6Ru (a cell relaxed with GGA-PBE; Cu Ka).
No peak broadening, texture or thermal motion is included.

Cell and atoms:
a b c (Å): 5.217 5.231 7.371
angles (deg): 90.00 90.00 90.00
Space group Immm (No. 71)
Asymmetric unit:
1 Pu 0.000 0.000 0.250
2 Cu 0.000 0.500 0.000
3 H 0.000 0.500 0.258
4 H 0.242 0.258 0.500
5 Ru 0.000 0.500 0.500

Peak list (10 most intense, 10 to 90 degrees two-theta, most intense first)
h k l  Position (°2θ)  I_rel
2 0 0  34.36  100
3 1 2  61.58  25
1 1 0  24.11  25
1 3 2  61.45  13
2 2 0  49.34  12
4 0 0  72.45  10
2 0 2  42.41  9
4 2 0  82.63  8
0 0 4  49.46  6
2 2 2  55.63  6


No. 6
Structure and theoretical powder diffraction line list of VCuCl6 (a cell relaxed with GGA-PBE; Cu Ka).
No peak broadening, texture or thermal motion is included.

Cell and atoms:
a b c (Å): 6.0466 6.0466 16.3069
angles (deg): 90.00 90.00 120.00
Space group R-3 (No. 148, hexagonal axes)
Asymmetric unit:
1 V 0.0000 0.0000 0.0000
2 Cu 0.0000 0.0000 0.5000
3 Cl 0.0114 0.6949 0.0808

Peak list (10 most intense, 10 to 90 degrees two-theta, most intense first)
h k l  Position (°2θ)  I_rel
0 1 2  20.15  100
2 -1 3  33.93  94
1 1 6  44.84  60
3 0 0  52.42  36
1 0 4  27.73  27
0 2 4  40.97  18
1 2 2  47.26  14
1 1 9  59.48  14
2 1 4  51.31  13
4 -2 6  71.40  12